CdIn4FeO8: calculated X-ray powder pattern (λ = 1.5418 Å (Cu Kα)), based on a cell relaxed with PBE+U.
Lines closer than 0.1° are merged.

Largest 10 diffraction maxima, by angle, 2θ from 10° to 90°:
Position (°2θ), d [Å], I_rel
27.68, 3.223, 59.1
32.00, 2.797, 100.0
32.22, 2.778, 97.6
32.66, 2.742, 57.6
33.54, 2.672, 36.3
39.17, 2.300, 25.4
51.29, 1.781, 25.7
51.59, 1.772, 36.4
56.03, 1.641, 51.5
57.16, 1.611, 47.7

Structure:
```
data_CdIn4FeO8
_symmetry_space_group_name_H-M 'R 3 m'
_symmetry_Int_Tables_number 160
_symmetry_space_group_name_Hall 'R 3 -2"'
_cell_length_a 6.5652
_cell_length_b 6.5652
_cell_length_c 15.6488
_cell_angle_alpha 90.00
_cell_angle_beta 90.00
_cell_angle_gamma 120.00
loop_
_atom_site_label
_atom_site_fract_x
_atom_site_fract_y
_atom_site_fract_z
_atom_site_occupancy
Cd1 0.0000 0.0000 0.0000 1
In1 0.0000 0.0000 0.2408 1
In2 0.1687 0.3375 0.4528 1
Fe1 0.0000 0.0000 0.6220 1
O1 0.0000 0.0000 0.3776 1
O2 0.0000 0.0000 0.8591 1
O3 0.0367 0.5183 0.3731 1
O4 0.1788 0.3577 0.2003 1
```